K3Ge2Pt4: simulated PXRD pattern (Cu Ka), based on a structure optimized by DFT (PBE).
Lines closer than 0.1° are merged.

Cell and atoms:
Unit cell a=6.6010 b=6.6010 c=9.3132 alpha=109.16 beta=109.16 gamma=36.51
Sites, in units of the cell vectors:
K: 0.0000 0.0000 0.0000
K: 0.3712 0.3712 0.6270
K: 0.6288 0.6288 0.3730
Ge: 0.3274 0.3274 0.2200
Ge: 0.6726 0.6726 0.7800
Pt: 0.0857 0.0857 0.6314
Pt: 0.2632 0.2632 0.9138
Pt: 0.7368 0.7368 0.0862
Pt: 0.9143 0.9143 0.3686

Peak list (6 most intense, 2θ from 10° to 90°, in order of rising 2θ)
- 2θ 15.0, rel. 100
- 2θ 23.9, rel. 24
- 2θ 33.0, rel. 28
- 2θ 40.7, rel. 29
- 2θ 42.0, rel. 19
- 2θ 43.8, rel. 14